Record 1
Ac2Sn4Pd9: computed PXRD pattern (Cu Kα (λ = 1.5418 Å)), based on DFT lattice parameters and positions (GGA-PBE).

Principal peaks in the range 5° ≤ 2θ ≤ 70°, by intensity:
| Position (°2θ) | I_rel |
| --- | --- |
| 39.3 | 100 |
| 38.4 | 54 |
| 34.2 | 49 |
| 27.2 | 30 |
| 23.0 | 18 |
| 56.1 | 18 |
| 53.0 | 14 |
| 67.9 | 13 |
| 50.7 | 13 |
| 63.1 | 11 |
| 30.4 | 10 |
| 52.5 | 10 |

Structure:
abc: 4.5891 4.5891 17.4497
angles: 90.00 90.00 120.00
Fractional positions:
Ac 0.3333 0.6667 0.2535
Ac 0.6667 0.3333 0.7465
Sn 0.3333 0.6667 0.5980
Sn 0.3333 0.6667 0.9000
Sn 0.6667 0.3333 0.1000
Sn 0.6667 0.3333 0.4020
Pd 0.0000 0.0000 0.0000
Pd 0.0000 0.0000 0.1570
Pd 0.0000 0.0000 0.3627
Pd 0.0000 0.0000 0.6373
Pd 0.0000 0.0000 0.8430
Pd 0.3333 0.6667 0.0605
Pd 0.3333 0.6667 0.4448
Pd 0.6667 0.3333 0.5552
Pd 0.6667 0.3333 0.9395

---

Record 2
Ba3SrSb6: computed PXRD pattern (Cu Kα (λ = 1.5418 Å)), based on DFT lattice parameters and positions (GGA-PBE).

Principal peaks in the range 5° ≤ 2θ ≤ 70°, by intensity:
| Position (°2θ) | I_rel |
| --- | --- |
| 27.0 | 100 |
| 29.6 | 91 |
| 31.0 | 64 |
| 39.5 | 38 |
| 43.3 | 24 |
| 39.6 | 19 |
| 24.0 | 18 |
| 57.6 | 18 |
| 54.4 | 16 |
| 54.3 | 14 |
| 28.3 | 14 |
| 43.5 | 13 |

Structure:
abc: 9.2776 9.2776 9.2776
angles: 99.82 99.82 99.82
Fractional positions:
Ba 0.1787 0.7500 0.3213
Ba 0.2500 0.6787 0.8213
Ba 0.3213 0.1787 0.7500
Ba 0.6787 0.8213 0.2500
Ba 0.7500 0.3213 0.1787
Ba 0.8213 0.2500 0.6787
Sr 0.0000 0.0000 0.0000
Sr 0.5000 0.5000 0.5000
Sb 0.0147 0.0879 0.3847
Sb 0.0879 0.3847 0.0147
Sb 0.1153 0.4121 0.4853
Sb 0.3847 0.0147 0.0879
Sb 0.4121 0.4853 0.1153
Sb 0.4853 0.1153 0.4121
Sb 0.5147 0.8847 0.5879
Sb 0.5879 0.5147 0.8847
Sb 0.6153 0.9853 0.9121
Sb 0.8847 0.5879 0.5147
Sb 0.9121 0.6153 0.9853
Sb 0.9853 0.9121 0.6153